Diffraction record for VF5. The powder diffraction line list is simulated, not measured: it uses a structure optimized by DFT (PBE+U) and copper Kα.
Peak positions follow from Bragg's law for the DFT cell and can differ from measured ones.

Main lines, in order of rising 2θ (10 to 90 degrees two-theta):
4.704 Å, 18.87°, I 19, hkl 0 0 1; 4.542 Å, 19.55°, I 100, hkl 1 1 0; 3.795 Å, 23.44°, I 80, hkl 1 0 1; 3.267 Å, 27.30°, I 21, hkl 1 1 1; 3.211 Å, 27.78°, I 23, hkl 2 0 0; 2.451 Å, 36.66°, I 22, hkl 2 1 1; 2.352 Å, 38.27°, I 21, hkl 0 0 2; 2.208 Å, 40.86°, I 13, hkl 1 0 2; 2.031 Å, 44.61°, I 37, hkl 1 3 0; 1.436 Å, 64.93°, I 13, hkl 4 2 0

Structure:
Cell: 6.4228 6.4228 4.7037 Å, 90.00 90.00 90.00°
Space group P4/n (No. 85, origin choice 2)
One atom of each set of equivalent atoms:
V 0.2500 0.2500 0.1461
F 0.0051 0.6704 0.7616
F 0.2500 0.2500 0.7773